Starting from a crystal structure in OQMD, relaxed with GGA-PBE, the powder diffractogram of ErAuSeO was simulated for Cu Kα.
Neutral-atom scattering factors, no anomalous dispersion.

Most intense lines, 10 to 90 degrees two-theta, by intensity:
2theta, I/Imax, h k l
29.4, 100.0, 1 1 2
34.0, 81.5, 2 0 1
36.2, 69.9, 1 1 3
32.1, 62.1, 0 2 0
18.5, 55.7, 0 0 2
37.8, 50.5, 2 0 2
37.3, 42.2, 1 2 1
27.8, 41.8, 0 0 3
47.4, 41.3, 2 2 1
40.8, 32.4, 1 2 2

```
ErAuSeO
1.0
5.486 0.000 0.000
0.000 5.582 0.000
0.000 0.000 9.618
Er Au Se O
4 4 4 4
Direct
0.000 0.000 0.000 Er
0.000 0.500 0.227 Er
0.500 0.000 0.227 Er
0.500 0.500 0.000 Er
0.250 0.080 0.613 Au
0.250 0.580 0.613 Au
0.750 0.420 0.613 Au
0.750 0.920 0.613 Au
0.000 0.000 0.390 Se
0.000 0.500 0.836 Se
0.500 0.000 0.836 Se
0.500 0.500 0.390 Se
0.250 0.248 0.113 O
0.250 0.748 0.113 O
0.750 0.252 0.113 O
0.750 0.752 0.113 O
```